CaFeBP2H2O10: theoretical PXRD pattern (Cu Kα), based on a crystal structure in the Materials Project, relaxed with GGA+U.

The 6 most intense peaks (10° ≤ 2θ ≤ 90°), in order of rising 2θ:
d (Å)	I (rel.)	(hkl)
4.352	80	1 1 1
3.241	100	2 2 -1
3.176	60	3 1 -1
2.935	92	0 2 2
2.861	64	1 1 -3
2.176	55	3 1 -4

Cell: 10.3498 8.3484 9.2765 Å, 90.00 117.13 90.00°
Space group C2/c (No. 15)
Inequivalent atoms, fractional coordinates:
Ca: 0.0000 0.1490 0.2500 x4
Fe: 0.2500 0.2500 0.0000 x4
B: 0.0000 0.4736 0.7500 x4
P: 0.2140 0.0650 0.6741 x8
H: 0.0202 0.3127 0.5877 x8
O: 0.0557 0.3748 0.8980 x8
O: 0.1157 0.4131 0.2606 x8
O: 0.1327 0.1839 0.5389 x8
O: 0.1744 0.0858 0.8153 x8
O: 0.1784 0.1134 0.1229 x8

=====

CaNiBP2H3O10: theoretical PXRD pattern (Cu Kα), based on a crystal structure in the Materials Project, relaxed with GGA+U.

The 6 most intense peaks (10° ≤ 2θ ≤ 90°), in order of rising 2θ:
d (Å)	I (rel.)	(hkl)
4.672	58	2 0 0
4.424	58	1 1 1
3.257	86	2 2 -1
2.962	100	0 2 2
2.946	44	2 2 -2
2.865	42	1 1 -3

Cell: 10.3677 8.4298 9.2414 Å, 90.00 115.69 90.00°
Space group C2/c (No. 15)
Inequivalent atoms, fractional coordinates:
Ca: 0.0000 0.1257 0.2500 x4
Ni: 0.2500 0.2500 0.0000 x4
B: 0.0000 0.4724 0.7500 x4
P: 0.2177 0.0649 0.6730 x8
H: 0.0159 0.3215 0.5851 x8
H: 0.2500 0.2500 0.5000 x4
O: 0.0579 0.3811 0.8989 x8
O: 0.1150 0.4147 0.2567 x8
O: 0.1584 0.1880 0.5296 x8
O: 0.1637 0.1025 0.7989 x8
O: 0.1650 0.1035 0.1137 x8